No. 1
This entry pairs a crystal structure of TiCr2Si6 with its simulated X-ray diffraction stick pattern. Radiation: Cu Kα (λ = 1.5418 Å). Structure: a cell relaxed with PBE.
Peak positions follow from Bragg's law for the DFT cell and can differ from measured ones.

Structural model:
a = 4.5840 Å, b = 7.8402 Å, c = 6.3497 Å
α = 90.00°, β = 90.00°, γ = 90.00°
Space group C222 (No. 21)
Unique sites:
Ti1 0.0000 0.0000 0.0000 x2
Cr1 0.2500 0.2500 0.6668 x4
Si1 0.0000 0.3387 0.0000 x4
Si2 0.2428 0.4151 0.3369 x8

Peak list (8 most intense, 5° ≤ 2θ ≤ 70°, in order of falling intensity)
two_theta, I (rel.)
42.3, 100
49.3, 63
42.7, 55
41.9, 51
49.0, 30
26.5, 18
39.7, 14
39.3, 9

---

No. 2
This entry pairs a crystal structure of AlBMo with its simulated X-ray diffraction stick pattern. Radiation: Cu Kα (λ = 1.5418 Å). Structure: a cell relaxed with PBE.
Peak positions follow from Bragg's law for the DFT cell and can differ from measured ones.

Structural model:
a = 3.2276 Å, b = 14.0292 Å, c = 3.1132 Å
α = 90.00°, β = 90.00°, γ = 90.00°
Space group Cmcm (No. 63)
Unique sites:
Al1 0.0000 0.1985 0.2500 x4
B1 0.0000 0.0333 0.2500 x4
Mo1 0.0000 0.4106 0.2500 x4

Peak list (8 most intense, 5° ≤ 2θ ≤ 70°, in order of falling intensity)
two_theta, I (rel.)
42.7, 100
40.8, 95
28.4, 89
44.9, 85
38.7, 82
31.4, 74
12.6, 59
25.4, 31

---

No. 3
This entry pairs a crystal structure of NaLaTl2 with its simulated X-ray diffraction stick pattern. Radiation: Cu Kα (λ = 1.5418 Å). Structure: a cell relaxed with PBE.
Peak positions follow from Bragg's law for the DFT cell and can differ from measured ones.

Structural model:
a = 7.7992 Å, b = 7.7992 Å, c = 7.7992 Å
α = 90.00°, β = 90.00°, γ = 90.00°
Space group Fm-3m (No. 225)
Unique sites:
Na1 0.0000 0.0000 0.0000 x4
La1 0.0000 0.0000 0.5000 x4
Tl1 0.2500 0.2500 0.2500 x8

Peak list (8 most intense, 5° ≤ 2θ ≤ 70°, in order of falling intensity)
two_theta, I (rel.)
32.5, 100
57.9, 39
22.8, 21
46.6, 19
68.0, 12
52.5, 10
19.7, 9
40.0, 7

---

No. 4
This entry pairs a crystal structure of SnHg2S2Br2 with its simulated X-ray diffraction stick pattern. Radiation: Cu Kα (λ = 1.5418 Å). Structure: a cell relaxed with PBE.
Peak positions follow from Bragg's law for the DFT cell and can differ from measured ones.

Structural model:
a = 11.1545 Å, b = 10.6425 Å, c = 13.1224 Å
α = 90.00°, β = 115.47°, γ = 90.00°
Space group P2_1/c (No. 14)
Unique sites:
Sn1 0.2277 0.1847 0.4680 x4
Hg1 0.2314 0.1061 0.1733 x4
Hg2 0.4904 0.1733 0.8714 x4
S1 0.1126 0.0914 0.2853 x4
S2 0.3117 0.1051 0.0306 x4
Br1 0.0371 0.1708 0.5242 x4
Br2 0.4027 0.0320 0.5914 x4

Peak list (8 most intense, 5° ≤ 2θ ≤ 70°, in order of falling intensity)
two_theta, I (rel.)
12.1, 100
16.1, 29
27.7, 27
26.4, 26
28.7, 22
30.5, 21
25.7, 19
34.0, 19

---

No. 5
This entry pairs a crystal structure of Cs2KBiCl6 with its simulated X-ray diffraction stick pattern. Radiation: Cu Kα (λ = 1.5418 Å). Structure: a cell relaxed with PBE.
Peak positions follow from Bragg's law for the DFT cell and can differ from measured ones.

Structural model:
a = 11.4945 Å, b = 11.4945 Å, c = 11.4945 Å
α = 90.00°, β = 90.00°, γ = 90.00°
Space group Fm-3m (No. 225)
Unique sites:
Cs1 0.2500 0.2500 0.2500 x8
K1 0.0000 0.0000 0.0000 x4
Bi1 0.0000 0.0000 0.5000 x4
Cl1 0.0000 0.0000 0.2633 x24

Peak list (8 most intense, 5° ≤ 2θ ≤ 70°, in order of falling intensity)
two_theta, I (rel.)
21.9, 100
31.1, 58
38.4, 47
44.6, 40
13.3, 35
60.3, 27
50.2, 23
25.7, 18

---

No. 6
This entry pairs a crystal structure of MgAgBiO5 with its simulated X-ray diffraction stick pattern. Radiation: Cu Kα (λ = 1.5418 Å). Structure: a cell relaxed with PBE.
Peak positions follow from Bragg's law for the DFT cell and can differ from measured ones.

Structural model:
a = 5.6692 Å, b = 10.7278 Å, c = 9.3893 Å
α = 90.00°, β = 121.99°, γ = 90.00°
Space group P2_1/c (No. 14)
Unique sites:
Mg1 0.0906 0.0612 0.1737 x4
Ag1 0.3145 0.6232 0.0322 x4
Bi1 0.4150 0.1015 0.8393 x4
O1 0.0122 0.0281 0.6669 x4
O2 0.2087 0.6954 0.4691 x4
O3 0.2686 0.0449 0.0064 x4
O4 0.3310 0.2060 0.2930 x4
O5 0.4706 0.5396 0.8320 x4

Peak list (8 most intense, 5° ≤ 2θ ≤ 70°, in order of falling intensity)
two_theta, I (rel.)
21.7, 100
31.2, 67
18.5, 53
32.2, 46
40.7, 37
20.0, 35
17.7, 29
33.8, 25